Na3BiO4: theoretical powder diffractogram (λ = 1.5418 Å (Cu Kα)), based on the PBE geometry in the Materials Project.
Neutral-atom scattering factors, no anomalous dispersion.

Top 12 peaks for 2θ from 10° to 90°, low angle first:
- 16.00 deg, I 100, hkl 1 1 0
- 18.75 deg, I 31, hkl 0 2 0
- 26.10 deg, I 14, hkl 2 0 0
- 26.58 deg, I 13, hkl 0 0 1
- 31.19 deg, I 52, hkl 1 1 1
- 32.33 deg, I 23, hkl 2 2 0
- 32.73 deg, I 22, hkl 0 2 1
- 37.59 deg, I 39, hkl 2 0 1
- 38.03 deg, I 18, hkl 0 4 0
- 42.33 deg, I 16, hkl 2 2 1
- 49.34 deg, I 17, hkl 3 1 1
- 54.54 deg, I 24, hkl 2 4 1

Cell and atoms:
```
16
Lattice="6.829 0.000 0.000 0.000 9.465 0.000 0.000 0.000 3.354" Properties=species:S:1:pos:R:3 pbc="T T T"
Na 0.000 0.000 0.000
Na 1.707 2.366 1.677
Na 1.707 7.099 1.677
Na 3.415 4.733 0.000
Na 5.122 2.366 1.677
Na 5.122 7.099 1.677
Bi 0.000 4.733 0.000
Bi 3.415 0.000 0.000
O 0.000 2.659 0.000
O 0.000 6.806 0.000
O 1.514 4.733 1.677
O 1.900 0.000 1.677
O 3.415 2.074 0.000
O 3.415 7.391 0.000
O 4.929 0.000 1.677
O 5.315 4.733 1.677
```